[1]
# Rb3Ac2CrO6
Calculated powder diffraction line list, Cu Kα X-rays. Input: the GGA+U geometry in Alexandria.

Most intense lines, 2θ = 10–80°, sorted by position:
2theta	I_rel
13.47	379
27.12	461
28.68	121
29.76	1000
33.69	758
33.86	378
46.64	135
46.84	267
50.13	361
54.82	154
57.84	240
59.35	125

Structure:
```
Rb3Ac2CrO6
1.0
3.149 -5.463 0.000
3.149 5.463 0.000
-2.060 0.000 6.576
Rb Ac Cr O
3 2 1 6
direct
0.000 0.000 0.000
0.342 0.658 0.000
0.658 0.342 0.000
0.167 0.833 0.500
0.833 0.167 0.500
0.500 0.500 0.500
0.151 0.441 0.323
0.266 0.266 0.677
0.441 0.151 0.323
0.559 0.849 0.677
0.734 0.734 0.323
0.849 0.559 0.677
```

[2]
# Li17Co4O16
Calculated powder diffraction line list, Cu Kα X-rays. Input: the GGA+U geometry in Alexandria.

Most intense lines, 2θ = 10–80°, sorted by position:
2theta	I_rel
17.49	775
21.23	1000
21.41	978
24.33	264
25.87	480
26.17	484
26.58	301
35.40	427
37.30	239
37.65	206
43.93	247
54.74	294

Structure:
```
Li17Co4O16
1.0
7.317 0.000 0.000
0.000 6.707 0.000
-0.104 0.000 7.749
Li Co O
17 4 16
direct
0.000 0.000 0.000
0.051 0.500 0.212
0.115 0.500 0.522
0.295 0.229 0.199
0.295 0.771 0.199
0.305 0.195 0.534
0.305 0.805 0.534
0.350 0.247 0.880
0.350 0.753 0.880
0.498 0.500 0.566
0.615 0.000 0.086
0.768 0.255 0.361
0.768 0.745 0.361
0.781 0.308 0.018
0.781 0.692 0.018
0.837 0.253 0.687
0.837 0.747 0.687
0.027 0.000 0.391
0.086 0.500 0.886
0.526 0.500 0.186
0.583 0.000 0.678
0.009 0.233 0.504
0.009 0.767 0.504
0.104 0.281 0.020
0.104 0.719 0.020
0.266 0.000 0.337
0.273 0.500 0.733
0.316 0.500 0.335
0.348 0.000 0.743
0.517 0.258 0.073
0.517 0.742 0.073
0.598 0.229 0.557
0.598 0.771 0.557
0.772 0.000 0.836
0.785 0.500 0.224
0.850 0.000 0.225
0.850 0.500 0.817
```